Record 1
Calculated X-ray powder pattern
Compound: Ce4Mg7Ge6
Radiation: copper Kα
Structure: a cell relaxed with GGA-PBE

Principal peaks in the range 5 to 70 degrees two-theta, by angle:
two_theta  Rel. int.
12.61  37
26.68  34
28.97  30
29.97  47
30.32  72
33.78  100
35.14  54
37.72  92
40.93  61
43.32  25

Cell and atoms:
Cell: 16.6159 4.4102 12.5408 Å, 90.00 122.32 90.00°
Space group C2/m (No. 12)
Unique sites:
Ce (0.1274, 0.0000, 0.3350) (multiplicity 4)
Ce (0.2319, 0.0000, 0.1090) (multiplicity 4)
Mg (0.0000, 0.0000, 0.0000) (multiplicity 2)
Mg (0.0402, 0.5000, 0.6383) (multiplicity 4)
Mg (0.0625, 0.5000, 0.8954) (multiplicity 4)
Mg (0.1897, 0.0000, 0.6528) (multiplicity 4)
Ge (0.1108, 0.0000, 0.8099) (multiplicity 4)
Ge (0.1215, 0.5000, 0.1532) (multiplicity 4)
Ge (0.1509, 0.5000, 0.5208) (multiplicity 4)

Record 2
Calculated X-ray powder pattern
Compound: Ce3MgGe2
Radiation: copper Kα
Structure: a cell relaxed with GGA-PBE

Principal peaks in the range 5 to 70 degrees two-theta, by angle:
two_theta  Rel. int.
15.13  38
30.23  88
30.53  81
31.56  74
33.43  48
36.28  55
37.16  52
39.46  52
41.39  100
54.20  59

Cell and atoms:
Cell: 6.2869 16.0813 6.0598 Å, 90.00 90.00 90.00°
Space group Ibam (No. 72)
Unique sites:
Ce (0.0000, 0.0000, 0.2500) (multiplicity 4)
Ce (0.2479, 0.3199, 0.0000) (multiplicity 8)
Mg (0.0000, 0.5000, 0.2500) (multiplicity 4)
Ge (0.2396, 0.3704, 0.5000) (multiplicity 8)

Record 3
Calculated X-ray powder pattern
Compound: Ce5Mg8Ge8
Radiation: copper Kα
Structure: a cell relaxed with GGA-PBE

Principal peaks in the range 5 to 70 degrees two-theta, by angle:
two_theta  Rel. int.
6.66  21
10.77  33
24.70  25
29.05  70
32.43  20
33.20  100
33.83  51
37.06  38
40.26  45
42.41  20

Cell and atoms:
Cell: 16.4391 4.4804 13.2737 Å, 90.00 92.15 90.00°
Space group C2/m (No. 12)
Unique sites:
Ce (0.0000, 0.0000, 0.0000) (multiplicity 2)
Ce (0.0931, 0.5000, 0.4360) (multiplicity 4)
Ce (0.1048, 0.5000, 0.7452) (multiplicity 4)
Mg (0.0694, 0.0000, 0.2497) (multiplicity 4)
Mg (0.1790, 0.5000, 0.0016) (multiplicity 4)
Mg (0.2008, 0.0000, 0.5684) (multiplicity 4)
Mg (0.2140, 0.5000, 0.2282) (multiplicity 4)
Ge (0.0380, 0.0000, 0.5910) (multiplicity 4)
Ge (0.0574, 0.5000, 0.1454) (multiplicity 4)
Ge (0.1587, 0.0000, 0.8879) (multiplicity 4)
Ge (0.2207, 0.0000, 0.3615) (multiplicity 4)